The following is a simulated powder diffractogram of TaZn2CuO6. It was derived from a DFT-relaxed cell (PBE, the Materials Project), using CuKα.

Structure:
```
TaZn2CuO6
1.0
5.393 0.000 0.000
0.000 7.433 0.000
-1.125 0.000 5.507
Ta Zn Cu O
2 4 2 12
Direct
0.000 0.000 0.000
0.000 0.500 0.000
0.032 0.250 0.544
0.488 0.750 0.942
0.512 0.250 0.058
0.968 0.750 0.456
0.500 0.000 0.500
0.500 0.500 0.500
0.144 0.750 0.036
0.178 0.058 0.341
0.178 0.442 0.341
0.285 0.074 0.850
0.285 0.426 0.850
0.372 0.750 0.572
0.628 0.250 0.428
0.715 0.574 0.150
0.715 0.926 0.150
0.822 0.558 0.659
0.822 0.942 0.659
0.856 0.250 0.964
```

Main lines, low angle first (10 to 90 degrees two-theta):
2θ (°)  d (Å)  I/Imax  (hkl)
16.09  5.507  23  0 0 1
16.78  5.284  23  1 0 0
31.95  2.801  100  1 2 -1
32.52  2.754  48  0 0 2
33.93  2.642  35  2 0 0
35.33  2.541  67  1 2 1
42.43  2.131  30  2 0 -2
49.02  1.858  19  0 4 0
55.41  1.658  19  1 2 -3
57.27  1.609  26  3 2 -1